(1)
Diffraction record for K3NaAg2P2. The powder X-ray diffraction pattern is calculated, not measured: it uses DFT lattice parameters and positions (PBE) and Cu Kα, 1.54184 Å.
Intensities are scaled so that the largest is 100.

Cell and atoms:
```
data_K3NaAg2P2
_chemical_formula_sum 'K3 Na1 Ag2 P2'
_cell_length_a 5.9063
_cell_length_b 6.1620
_cell_length_c 6.1766
_cell_angle_alpha 77.38
_cell_angle_beta 89.93
_cell_angle_gamma 89.95
_symmetry_space_group_name_H-M 'P 1'
_symmetry_Int_Tables_number 1
loop_
_symmetry_equiv_pos_as_xyz
'x,y,z'
loop_
_atom_site_label
_atom_site_type_symbol
_atom_site_fract_x
_atom_site_fract_y
_atom_site_fract_z
K1 K 0.0000 0.0000 0.0000
K2 K 0.0010 0.3547 0.3326
K3 K 0.5001 0.2774 0.7145
Na1 Na 0.5014 0.6518 0.0419
Ag1 Ag 0.2497 0.8062 0.5325
Ag2 Ag 0.7497 0.8063 0.5320
P1 P 0.4997 0.0442 0.2613
P2 P 0.9994 0.5558 0.7931
```

Main lines, in order of rising 2θ (10° ≤ 2θ ≤ 90°):
d [Å], two_theta, I_rel, h k l
6.021, 14.71, 100.0, 0 0 1
4.815, 18.43, 40.1, 0 1 1
3.010, 29.68, 19.5, 0 2 0
2.963, 30.16, 56.8, 0 2 1
2.651, 33.82, 85.8, 2 -1 0
2.517, 35.66, 22.2, 2 1 1
2.484, 36.16, 29.3, 0 1 -2
2.345, 38.39, 29.0, 2 1 -1
2.108, 42.90, 30.4, 2 0 -2
1.790, 51.02, 15.4, 0 3 -1

***

(2)
Diffraction record for KNaAgP. The powder X-ray diffraction pattern is calculated, not measured: it uses DFT lattice parameters and positions (PBE) and Cu Kα, 1.54184 Å.
Intensities are scaled so that the largest is 100.

Cell and atoms:
```
data_KNaAgP
_chemical_formula_sum 'K4 Na4 Ag4 P4'
_cell_length_a 9.3820
_cell_length_b 7.4968
_cell_length_c 5.8280
_cell_angle_alpha 90.00
_cell_angle_beta 90.17
_cell_angle_gamma 90.00
_symmetry_space_group_name_H-M 'C 1 2 1'
_symmetry_Int_Tables_number 5
loop_
_symmetry_equiv_pos_as_xyz
'x,y,z'
'-x,y,-z'
'x+1/2,y+1/2,z'
'-x+1/2,y+1/2,-z'
loop_
_atom_site_label
_atom_site_type_symbol
_atom_site_fract_x
_atom_site_fract_y
_atom_site_fract_z
K1 K 0.1730 0.0000 0.0006
Na1 Na 0.1733 0.2831 0.4989
Ag1 Ag 0.0002 0.6334 0.2526
P1 P 0.0000 0.3719 0.0000
P2 P 0.0000 0.9000 0.5000
```

Main lines, in order of rising 2θ (10° ≤ 2θ ≤ 90°):
d [Å], two_theta, I_rel, h k l
5.856, 15.13, 100.0, 1 1 0
4.691, 18.92, 42.9, 2 0 0
2.928, 30.53, 18.1, 2 2 0
2.886, 30.98, 50.5, 3 1 0
2.609, 34.37, 59.9, 1 1 2
2.586, 34.68, 21.1, 3 1 -1
2.475, 36.29, 20.1, 2 0 2
2.415, 37.24, 28.4, 1 3 0
2.301, 39.16, 27.4, 0 2 2
2.066, 43.83, 30.1, 2 2 2

***

(3)
Diffraction record for KNaAgPS4. The powder X-ray diffraction pattern is calculated, not measured: it uses DFT lattice parameters and positions (PBE) and Cu Kα, 1.54184 Å.
Intensities are scaled so that the largest is 100.

Cell and atoms:
```
data_KNaAgPS4
_chemical_formula_sum 'K2 Na2 Ag2 P2 S8'
_cell_length_a 6.8218
_cell_length_b 6.8218
_cell_length_c 8.2697
_cell_angle_alpha 90.00
_cell_angle_beta 90.00
_cell_angle_gamma 90.00
_symmetry_space_group_name_H-M 'I -4'
_symmetry_Int_Tables_number 82
loop_
_symmetry_equiv_pos_as_xyz
'x,y,z'
'y,-x,-z'
'-x,-y,z'
'-y,x,-z'
'x+1/2,y+1/2,z+1/2'
'y+1/2,-x+1/2,-z+1/2'
'-x+1/2,-y+1/2,z+1/2'
'-y+1/2,x+1/2,-z+1/2'
loop_
_atom_site_label
_atom_site_type_symbol
_atom_site_fract_x
_atom_site_fract_y
_atom_site_fract_z
K1 K 0.0000 0.0000 0.0000
Na1 Na 0.0000 0.5000 0.7500
Ag1 Ag 0.0000 0.5000 0.2500
P1 P 0.0000 0.0000 0.5000
S1 S 0.1659 0.8109 0.3614
```

Main lines, in order of rising 2θ (10° ≤ 2θ ≤ 90°):
d [Å], two_theta, I_rel, h k l
5.262, 16.85, 65.4, 1 0 1
3.411, 26.13, 18.6, 2 0 0
3.139, 28.43, 100.0, 1 1 2
2.862, 31.25, 36.5, 1 2 1
2.556, 35.11, 11.1, 1 0 3
2.412, 37.28, 28.6, 2 2 0
2.045, 44.29, 12.3, 2 1 3
1.913, 47.54, 40.2, 1 3 2
1.768, 51.70, 25.5, 2 0 4
1.525, 60.71, 10.3, 4 2 0

***

(4)
Diffraction record for KNaAgSb. The powder X-ray diffraction pattern is calculated, not measured: it uses DFT lattice parameters and positions (PBE) and Cu Kα, 1.54184 Å.
Intensities are scaled so that the largest is 100.

Cell and atoms:
```
data_KNaAgSb
_chemical_formula_sum 'K2 Na2 Ag2 Sb2'
_cell_length_a 6.1052
_cell_length_b 5.9483
_cell_length_c 6.8698
_cell_angle_alpha 90.00
_cell_angle_beta 102.44
_cell_angle_gamma 90.00
_symmetry_space_group_name_H-M 'P 1 21/m 1'
_symmetry_Int_Tables_number 11
loop_
_symmetry_equiv_pos_as_xyz
'x,y,z'
'-x,-y,-z'
'-x,y+1/2,-z'
'x,-y+1/2,z'
loop_
_atom_site_label
_atom_site_type_symbol
_atom_site_fract_x
_atom_site_fract_y
_atom_site_fract_z
K1 K 0.0562 0.2500 0.1795
Na1 Na 0.3225 0.7500 0.4986
Ag1 Ag 0.5000 0.0000 0.0000
Sb1 Sb 0.2453 0.2500 0.7047
```

Main lines, in order of rising 2θ (10° ≤ 2θ ≤ 90°):
d [Å], two_theta, I_rel, h k l
5.026, 17.65, 100.0, 1 0 -1
4.211, 21.10, 47.8, 1 1 0
2.972, 30.07, 32.8, 2 0 -1
2.843, 31.47, 36.9, 1 1 -2
2.719, 32.94, 28.5, 0 2 1
2.686, 33.35, 29.9, 1 0 2
2.660, 33.69, 53.6, 2 1 -1
2.396, 37.54, 49.2, 1 2 1
2.225, 40.54, 31.3, 0 2 2
1.676, 54.78, 29.2, 3 0 -3

***

(5)
Diffraction record for KNaAgSb. The powder X-ray diffraction pattern is calculated, not measured: it uses DFT lattice parameters and positions (PBE) and Cu Kα, 1.54184 Å.
Intensities are scaled so that the largest is 100.

Cell and atoms:
```
data_KNaAgSb
_chemical_formula_sum 'K4 Na4 Ag4 Sb4'
_cell_length_a 6.0702
_cell_length_b 8.1119
_cell_length_c 9.9692
_cell_angle_alpha 90.00
_cell_angle_beta 90.00
_cell_angle_gamma 90.00
_symmetry_space_group_name_H-M 'A m a 2'
_symmetry_Int_Tables_number 40
loop_
_symmetry_equiv_pos_as_xyz
'x,y,z'
'-x,-y,z'
'-x+1/2,y,z'
'x+1/2,-y,z'
'x,y+1/2,z+1/2'
'-x,-y+1/2,z+1/2'
'-x+1/2,y+1/2,z+1/2'
'x+1/2,-y+1/2,z+1/2'
loop_
_atom_site_label
_atom_site_type_symbol
_atom_site_fract_x
_atom_site_fract_y
_atom_site_fract_z
K1 K 0.2500 0.1548 0.0000
Na1 Na 0.2500 0.1539 0.6512
Ag1 Ag 0.0000 0.0000 0.3195
Sb1 Sb 0.2500 0.2765 0.3300
```

Main lines, in order of rising 2θ (10° ≤ 2θ ≤ 90°):
d [Å], two_theta, I_rel, h k l
6.292, 14.08, 51.8, 0 1 1
4.985, 17.79, 100.0, 0 0 2
4.369, 20.33, 69.1, 1 1 1
3.075, 29.04, 27.1, 0 1 3
2.743, 32.64, 70.4, 1 1 3
2.734, 32.76, 52.4, 2 1 1
2.610, 34.36, 41.0, 0 3 1
2.430, 36.99, 52.5, 2 2 0
2.184, 41.33, 55.3, 2 2 2
1.740, 52.60, 27.9, 2 2 4

***

(6)
Diffraction record for K3Nb2Ag3S8. The powder X-ray diffraction pattern is calculated, not measured: it uses DFT lattice parameters and positions (PBE) and Cu Kα, 1.54184 Å.
Intensities are scaled so that the largest is 100.

Cell and atoms:
```
data_K3Nb2Ag3S8
_chemical_formula_sum 'K12 Nb8 Ag12 S32'
_cell_length_a 24.6834
_cell_length_b 5.9632
_cell_length_c 14.1804
_cell_angle_alpha 90.00
_cell_angle_beta 119.80
_cell_angle_gamma 90.00
_symmetry_space_group_name_H-M 'C 1 2/c 1'
_symmetry_Int_Tables_number 15
loop_
_symmetry_equiv_pos_as_xyz
'x,y,z'
'-x,-y,-z'
'-x,y,-z+1/2'
'x,-y,z+1/2'
'x+1/2,y+1/2,z'
'-x+1/2,-y+1/2,-z'
'-x+1/2,y+1/2,-z+1/2'
'x+1/2,-y+1/2,z+1/2'
loop_
_atom_site_label
_atom_site_type_symbol
_atom_site_fract_x
_atom_site_fract_y
_atom_site_fract_z
K1 K 0.0000 0.0000 0.0000
K2 K 0.1944 0.4278 0.1023
Nb1 Nb 0.1290 0.2937 0.7806
Ag1 Ag 0.0000 0.2979 0.7500
Ag2 Ag 0.1292 0.2060 0.2888
S1 S 0.0473 0.4867 0.1522
S2 S 0.0987 0.0851 0.8862
S3 S 0.1597 0.0679 0.6834
S4 S 0.2135 0.4932 0.3955
```

Main lines, in order of rising 2θ (10° ≤ 2θ ≤ 90°):
d [Å], two_theta, I_rel, h k l
7.062, 12.53, 29.2, 2 0 -2
6.153, 14.40, 100.0, 0 0 2
5.668, 15.63, 36.1, 4 0 -2
5.355, 16.55, 26.1, 4 0 0
3.446, 25.86, 19.8, 2 0 -4
3.214, 27.75, 15.5, 3 1 2
2.977, 30.01, 15.0, 5 1 -4
2.834, 31.57, 18.7, 8 0 -4
2.682, 33.42, 37.5, 0 2 2
2.141, 42.20, 36.9, 8 2 -2

***

(7)
Diffraction record for KNbAgTe2Se. The powder X-ray diffraction pattern is calculated, not measured: it uses DFT lattice parameters and positions (PBE) and Cu Kα, 1.54184 Å.
Intensities are scaled so that the largest is 100.

Cell and atoms:
```
data_KNbAgTe2Se
_chemical_formula_sum 'K4 Nb4 Ag4 Te8 Se4'
_cell_length_a 4.0056
_cell_length_b 15.8415
_cell_length_c 10.5931
_cell_angle_alpha 90.00
_cell_angle_beta 90.00
_cell_angle_gamma 90.00
_symmetry_space_group_name_H-M 'C m c m'
_symmetry_Int_Tables_number 63
_symmetry_space_group_name_Hall '-C 2c 2'
loop_
_atom_site_label
_atom_site_type_symbol
_atom_site_fract_x
_atom_site_fract_y
_atom_site_fract_z
K1 K 0.0000 0.2483 0.2500
Nb1 Nb 0.0000 0.5000 0.0000
Ag1 Ag 0.0000 0.0408 0.7500
Te1 Te 0.0000 0.1294 0.5309
Se1 Se 0.0000 0.4347 0.7500
```

Main lines, in order of rising 2θ (10° ≤ 2θ ≤ 90°):
d [Å], two_theta, I_rel, h k l
7.921, 11.17, 100.0, 0 2 0
3.191, 27.96, 34.3, 1 3 0
3.172, 28.13, 32.1, 0 4 2
3.056, 29.23, 58.2, 1 3 1
2.733, 32.76, 88.2, 1 3 2
2.648, 33.85, 49.2, 0 0 4
2.250, 40.08, 44.8, 1 5 2
2.003, 45.28, 27.8, 2 0 0
1.855, 49.12, 22.4, 0 8 2
1.765, 51.80, 23.6, 1 3 5

***

(8)
Diffraction record for KNdAg3S4. The powder X-ray diffraction pattern is calculated, not measured: it uses DFT lattice parameters and positions (PBE) and Cu Kα, 1.54184 Å.
Intensities are scaled so that the largest is 100.

Cell and atoms:
```
data_KNdAg3S4
_chemical_formula_sum 'K1 Nd1 Ag3 S4'
_cell_length_a 6.4622
_cell_length_b 6.4622
_cell_length_c 6.4622
_cell_angle_alpha 90.00
_cell_angle_beta 90.00
_cell_angle_gamma 90.00
_symmetry_space_group_name_H-M 'P -4 3 m'
_symmetry_Int_Tables_number 215
_symmetry_space_group_name_Hall 'P -4 2 3'
loop_
_atom_site_label
_atom_site_type_symbol
_atom_site_fract_x
_atom_site_fract_y
_atom_site_fract_z
K1 K 0.0000 0.0000 0.0000
Nd1 Nd 0.5000 0.5000 0.5000
Ag1 Ag 0.0000 0.5000 0.5000
S1 S 0.2658 0.2658 0.2658
```

Main lines, in order of rising 2θ (10° ≤ 2θ ≤ 90°):
d [Å], two_theta, I_rel, h k l
6.462, 13.70, 84.6, 1 0 0
3.731, 23.85, 45.5, 1 1 1
3.231, 27.61, 47.7, 2 0 0
2.890, 30.94, 38.3, 2 1 0
2.285, 39.44, 100.0, 2 2 0
2.154, 41.94, 24.5, 2 2 1
1.948, 46.61, 19.6, 3 1 1
1.616, 57.00, 15.8, 4 0 0
1.445, 64.49, 17.7, 4 2 0
1.319, 71.53, 30.9, 4 2 2

***

(9)
Diffraction record for KNdAg3Se4. The powder X-ray diffraction pattern is calculated, not measured: it uses DFT lattice parameters and positions (PBE) and Cu Kα, 1.54184 Å.
Intensities are scaled so that the largest is 100.

Cell and atoms:
```
data_KNdAg3Se4
_chemical_formula_sum 'K1 Nd1 Ag3 Se4'
_cell_length_a 6.6838
_cell_length_b 6.6838
_cell_length_c 6.6838
_cell_angle_alpha 90.00
_cell_angle_beta 90.00
_cell_angle_gamma 90.00
_symmetry_space_group_name_H-M 'P -4 3 m'
_symmetry_Int_Tables_number 215
_symmetry_space_group_name_Hall 'P -4 2 3'
loop_
_atom_site_label
_atom_site_type_symbol
_atom_site_fract_x
_atom_site_fract_y
_atom_site_fract_z
K1 K 0.0000 0.0000 0.0000
Nd1 Nd 0.5000 0.5000 0.5000
Ag1 Ag 0.0000 0.5000 0.5000
Se1 Se 0.2633 0.2633 0.2633
```

Main lines, in order of rising 2θ (10° ≤ 2θ ≤ 90°):
d [Å], two_theta, I_rel, h k l
6.684, 13.25, 55.2, 1 0 0
3.859, 23.05, 56.4, 1 1 1
2.989, 29.89, 20.0, 2 1 0
2.363, 38.08, 100.0, 2 2 0
2.228, 40.49, 15.6, 2 2 1
2.015, 44.98, 26.2, 3 1 1
1.854, 49.15, 12.1, 3 2 0
1.671, 54.95, 16.3, 4 0 0
1.533, 60.37, 10.0, 3 3 1
1.364, 68.81, 31.9, 4 2 2

***

(10)
Diffraction record for KAg3OsO4. The powder X-ray diffraction pattern is calculated, not measured: it uses DFT lattice parameters and positions (PBE) and Cu Kα, 1.54184 Å.
Intensities are scaled so that the largest is 100.

Cell and atoms:
```
data_KAg3OsO4
_chemical_formula_sum 'K1 Ag3 Os1 O4'
_cell_length_a 5.6820
_cell_length_b 5.6820
_cell_length_c 5.6820
_cell_angle_alpha 90.00
_cell_angle_beta 90.00
_cell_angle_gamma 90.00
_symmetry_space_group_name_H-M 'P -4 3 m'
_symmetry_Int_Tables_number 215
_symmetry_space_group_name_Hall 'P -4 2 3'
loop_
_atom_site_label
_atom_site_type_symbol
_atom_site_fract_x
_atom_site_fract_y
_atom_site_fract_z
K1 K 0.0000 0.0000 0.0000
Ag1 Ag 0.0000 0.5000 0.5000
Os1 Os 0.5000 0.5000 0.5000
O1 O 0.3023 0.3023 0.3023
```

Main lines, in order of rising 2θ (10° ≤ 2θ ≤ 90°):
d [Å], two_theta, I_rel, h k l
5.682, 15.60, 100.0, 1 0 0
4.018, 22.12, 17.0, 1 1 0
3.281, 27.18, 19.1, 1 1 1
2.841, 31.49, 61.9, 2 0 0
2.541, 35.32, 40.5, 2 1 0
2.009, 45.13, 62.5, 2 2 0
1.894, 48.04, 24.9, 2 2 1
1.640, 56.07, 17.0, 2 2 2
1.271, 74.71, 22.7, 4 2 0
1.160, 83.32, 18.3, 4 2 2

***

(11)
Diffraction record for KAg3PbO4. The powder X-ray diffraction pattern is calculated, not measured: it uses DFT lattice parameters and positions (PBE) and Cu Kα, 1.54184 Å.
Intensities are scaled so that the largest is 100.

Cell and atoms:
```
data_KAg3PbO4
_chemical_formula_sum 'K1 Ag3 Pb1 O4'
_cell_length_a 5.7674
_cell_length_b 5.7674
_cell_length_c 5.7674
_cell_angle_alpha 90.00
_cell_angle_beta 90.00
_cell_angle_gamma 90.00
_symmetry_space_group_name_H-M 'P -4 3 m'
_symmetry_Int_Tables_number 215
_symmetry_space_group_name_Hall 'P -4 2 3'
loop_
_atom_site_label
_atom_site_type_symbol
_atom_site_fract_x
_atom_site_fract_y
_atom_site_fract_z
K1 K 0.0000 0.0000 0.0000
Ag1 Ag 0.0000 0.5000 0.5000
Pb1 Pb 0.5000 0.5000 0.5000
O1 O 0.2858 0.2858 0.2858
```

Main lines, in order of rising 2θ (10° ≤ 2θ ≤ 90°):
d [Å], two_theta, I_rel, h k l
5.767, 15.36, 100.0, 1 0 0
4.078, 21.79, 19.6, 1 1 0
3.330, 26.77, 15.9, 1 1 1
2.884, 31.01, 61.4, 2 0 0
2.579, 34.78, 46.1, 2 1 0
2.039, 44.43, 66.3, 2 2 0
1.922, 47.28, 27.7, 2 2 1
1.665, 55.17, 16.7, 2 2 2
1.290, 73.42, 22.2, 4 2 0
1.177, 81.82, 20.0, 4 2 2